Diffraction record for K3HgI6. The XRD peak list is simulated, not measured: it uses a DFT-relaxed cell (GGA-PBE, Alexandria) and λ = 1.5418 Å (Cu Kα).
No peak broadening, texture or thermal motion is included.

Atomic structure:
abc: 12.2519 12.2519 6.9320
angles: 90.00 90.00 105.10
Element x y z (fractional)
K 0.1192 0.8808 0.5000
K 0.1986 0.4342 0.5203
K 0.4342 0.1986 0.0203
K 0.5658 0.8014 0.5203
K 0.8014 0.5658 0.0203
K 0.8808 0.1192 0.0000
Hg 0.2961 0.7039 0.1152
Hg 0.7039 0.2961 0.6152
I 0.0691 0.6154 0.2516
I 0.1577 0.1644 0.2615
I 0.1644 0.1577 0.7615
I 0.2882 0.7118 0.7102
I 0.3846 0.9309 0.2516
I 0.4364 0.5636 0.2297
I 0.5636 0.4364 0.7297
I 0.6154 0.0691 0.7516
I 0.7118 0.2882 0.2102
I 0.8356 0.8423 0.2615
I 0.8423 0.8356 0.7615
I 0.9309 0.3846 0.7516

Principal peaks in the range 2θ = 5–70°, sorted by position:
- 2θ = 14.9°, 5.965 Å, I 1000
- 2θ = 18.2°, 4.863 Å, I 521
- 2θ = 18.4°, 4.812 Å, I 689
- 2θ = 26.0°, 3.427 Å, I 528
- 2θ = 29.2°, 3.063 Å, I 856
- 2θ = 31.8°, 2.812 Å, I 568

Diffraction record for MoCl2. The XRD peak list is simulated, not measured: it uses a DFT-relaxed cell (GGA-PBE, Alexandria) and λ = 1.5418 Å (Cu Kα).
No peak broadening, texture or thermal motion is included.

Atomic structure:
abc: 9.6308 9.6308 11.5472
angles: 90.00 90.00 73.83
Element x y z (fractional)
Mo 0.0699 0.9301 0.8554
Mo 0.1210 0.1210 0.0000
Mo 0.1443 0.8557 0.0699
Mo 0.3557 0.6443 0.5699
Mo 0.3790 0.3790 0.5000
Mo 0.4301 0.5699 0.3554
Mo 0.5699 0.4301 0.6446
Mo 0.6210 0.6210 0.5000
Mo 0.6443 0.3557 0.4301
Mo 0.8557 0.1443 0.9301
Mo 0.8790 0.8790 0.0000
Mo 0.9301 0.0699 0.1446
Cl 0.0425 0.1848 0.7959
Cl 0.0899 0.6827 0.9287
Cl 0.1533 0.8467 0.6529
Cl 0.1827 0.5899 0.4287
Cl 0.1848 0.0425 0.2041
Cl 0.2238 0.2238 0.5000
Cl 0.2762 0.2762 0.0000
Cl 0.3152 0.4575 0.7041
Cl 0.3173 0.9101 0.9287
Cl 0.3467 0.6533 0.1529
Cl 0.4101 0.8173 0.4287
Cl 0.4575 0.3152 0.2959
Cl 0.5425 0.6848 0.7041
Cl 0.5899 0.1827 0.5713
Cl 0.6533 0.3467 0.8471
Cl 0.6827 0.0899 0.0713
Cl 0.6848 0.5425 0.2959
Cl 0.7238 0.7238 0.0000
Cl 0.7762 0.7762 0.5000
Cl 0.8152 0.9575 0.7959
Cl 0.8173 0.4101 0.5713
Cl 0.8467 0.1533 0.3471
Cl 0.9101 0.3173 0.0713
Cl 0.9575 0.8152 0.2041

Principal peaks in the range 2θ = 5–70°, sorted by position:
- 2θ = 11.5°, 7.700 Å, I 398
- 2θ = 12.3°, 7.219 Å, I 1000
- 2θ = 15.3°, 5.779 Å, I 176
- 2θ = 39.0°, 2.311 Å, I 74
- 2θ = 42.5°, 2.126 Å, I 80
- 2θ = 49.9°, 1.827 Å, I 84

Diffraction record for Cd5In3Hg3. The XRD peak list is simulated, not measured: it uses a DFT-relaxed cell (GGA-PBE, Alexandria) and λ = 1.5418 Å (Cu Kα).
No peak broadening, texture or thermal motion is included.

Atomic structure:
abc: 3.1443 9.0616 10.4379
angles: 90.00 90.00 90.00
Element x y z (fractional)
Cd 0.0000 0.0000 0.0000
Cd 0.0000 0.3406 0.9768
Cd 0.0000 0.6594 0.9768
Cd 0.5000 0.1854 0.4979
Cd 0.5000 0.8146 0.4979
In 0.0000 0.5000 0.6632
In 0.5000 0.3339 0.2403
In 0.5000 0.6661 0.2403
Hg 0.0000 0.1671 0.7423
Hg 0.0000 0.8329 0.7423
Hg 0.5000 0.0000 0.2518

Principal peaks in the range 2θ = 5–70°, sorted by position:
- 2θ = 29.7°, 3.011 Å, I 865
- 2θ = 30.8°, 2.901 Å, I 821
- 2θ = 34.4°, 2.610 Å, I 475
- 2θ = 38.6°, 2.333 Å, I 398
- 2θ = 39.5°, 2.281 Å, I 329
- 2θ = 45.1°, 2.010 Å, I 1000

Diffraction record for Ta2TiW5. The XRD peak list is simulated, not measured: it uses a DFT-relaxed cell (GGA-PBE, Alexandria) and λ = 1.5418 Å (Cu Kα).
No peak broadening, texture or thermal motion is included.

Atomic structure:
abc: 6.4133 6.4133 6.4228
angles: 90.00 90.00 90.00
Element x y z (fractional)
Ta 0.0000 0.5000 0.0000
Ta 0.0000 0.5000 0.5000
Ta 0.5000 0.0000 0.0000
Ta 0.5000 0.0000 0.5000
Ti 0.0000 0.0000 0.0000
Ti 0.5000 0.5000 0.5000
W 0.0000 0.0000 0.5000
W 0.2500 0.2500 0.2500
W 0.2500 0.2500 0.7500
W 0.2500 0.7500 0.2500
W 0.2500 0.7500 0.7500
W 0.5000 0.5000 0.0000
W 0.7500 0.2500 0.2500
W 0.7500 0.2500 0.7500
W 0.7500 0.7500 0.2500
W 0.7500 0.7500 0.7500

Principal peaks in the range 2θ = 5–70°, sorted by position:
- 2θ = 19.6°, 4.537 Å, I 58
- 2θ = 34.2°, 2.619 Å, I 30
- 2θ = 39.7°, 2.269 Å, I 1000
- 2θ = 44.7°, 2.029 Å, I 15
- 2θ = 53.4°, 1.715 Å, I 18
- 2θ = 57.4°, 1.604 Å, I 172

Diffraction record for Sc3Rh8. The XRD peak list is simulated, not measured: it uses a DFT-relaxed cell (GGA-PBE, Alexandria) and λ = 1.5418 Å (Cu Kα).
No peak broadening, texture or thermal motion is included.

Atomic structure:
abc: 4.6838 4.9121 8.0342
angles: 97.85 99.46 96.32
Element x y z (fractional)
Sc 0.0000 0.0000 0.0000
Sc 0.0000 0.5000 0.5000
Sc 0.5000 0.0000 0.5000
Rh 0.0398 0.4913 0.8331
Rh 0.0633 0.9845 0.6766
Rh 0.4579 0.3095 0.2536
Rh 0.4765 0.7624 0.0925
Rh 0.5235 0.2376 0.9075
Rh 0.5421 0.6905 0.7464
Rh 0.9367 0.0155 0.3234
Rh 0.9602 0.5087 0.1669

Principal peaks in the range 2θ = 5–70°, sorted by position:
- 2θ = 39.4°, 2.289 Å, I 508
- 2θ = 39.8°, 2.266 Å, I 1000
- 2θ = 40.9°, 2.208 Å, I 329
- 2θ = 41.9°, 2.156 Å, I 452
- 2θ = 43.5°, 2.081 Å, I 414
- 2θ = 44.8°, 2.023 Å, I 356

Diffraction record for ScH3Rh2. The XRD peak list is simulated, not measured: it uses a DFT-relaxed cell (GGA-PBE, Alexandria) and λ = 1.5418 Å (Cu Kα).
No peak broadening, texture or thermal motion is included.

Atomic structure:
abc: 4.3745 8.7463 5.7610
angles: 90.00 90.60 90.00
Element x y z (fractional)
Sc 0.2472 0.0970 0.1629
Sc 0.2472 0.4030 0.6629
Sc 0.7528 0.5970 0.3371
Sc 0.7528 0.9030 0.8371
H 0.1710 0.6141 0.8832
H 0.1710 0.8859 0.3832
H 0.2522 0.5939 0.3550
H 0.2522 0.9061 0.8550
H 0.3529 0.2065 0.8507
H 0.3529 0.2935 0.3507
H 0.6471 0.7065 0.6493
H 0.6471 0.7935 0.1493
H 0.7478 0.0939 0.1450
H 0.7478 0.4061 0.6450
H 0.8290 0.1141 0.6168
H 0.8290 0.3859 0.1168
Rh 0.2397 0.0717 0.6449
Rh 0.2397 0.4283 0.1449
Rh 0.2487 0.7333 0.6083
Rh 0.2487 0.7667 0.1083
Rh 0.7513 0.2333 0.8917
Rh 0.7513 0.2667 0.3917
Rh 0.7603 0.5717 0.8551
Rh 0.7603 0.9283 0.3551

Principal peaks in the range 2θ = 5–70°, sorted by position:
- 2θ = 37.1°, 2.426 Å, I 1000
- 2θ = 37.2°, 2.417 Å, I 481
- 2θ = 37.6°, 2.394 Å, I 480
- 2θ = 41.3°, 2.187 Å, I 418
- 2θ = 44.2°, 2.049 Å, I 580
- 2θ = 62.3°, 1.490 Å, I 206

Diffraction record for Ba3Bi. The XRD peak list is simulated, not measured: it uses a DFT-relaxed cell (GGA-PBE, Alexandria) and λ = 1.5418 Å (Cu Kα).
No peak broadening, texture or thermal motion is included.

Atomic structure:
abc: 8.3822 4.8177 11.3667
angles: 90.00 103.56 90.00
Element x y z (fractional)
Ba 0.0481 0.2500 0.3309
Ba 0.2826 0.7500 0.0554
Ba 0.4084 0.7500 0.6468
Ba 0.5916 0.2500 0.3532
Ba 0.7174 0.2500 0.9446
Ba 0.9519 0.7500 0.6691
Bi 0.2534 0.2500 0.8258
Bi 0.7466 0.7500 0.1742

Principal peaks in the range 2θ = 5–70°, sorted by position:
- 2θ = 11.9°, 7.445 Å, I 350
- 2θ = 24.5°, 3.631 Å, I 1000
- 2θ = 25.0°, 3.561 Å, I 391
- 2θ = 28.4°, 3.144 Å, I 635
- 2θ = 28.7°, 3.115 Å, I 283
- 2θ = 37.3°, 2.409 Å, I 252

Diffraction record for Ac2Ga2Pd3. The XRD peak list is simulated, not measured: it uses a DFT-relaxed cell (GGA-PBE, Alexandria) and λ = 1.5418 Å (Cu Kα).
No peak broadening, texture or thermal motion is included.

Atomic structure:
abc: 10.0841 10.0841 7.5643
angles: 90.00 90.00 155.34
Element x y z (fractional)
Ac 0.0604 0.9396 0.7500
Ac 0.1513 0.8487 0.2500
Ac 0.8487 0.1513 0.7500
Ac 0.9396 0.0604 0.2500
Ga 0.3062 0.6938 0.0631
Ga 0.3062 0.6938 0.4369
Ga 0.6938 0.3062 0.5631
Ga 0.6938 0.3062 0.9369
Pd 0.2268 0.7732 0.7500
Pd 0.4333 0.5667 0.5496
Pd 0.4333 0.5667 0.9504
Pd 0.5667 0.4333 0.0496
Pd 0.5667 0.4333 0.4504
Pd 0.7732 0.2268 0.2500

Principal peaks in the range 2θ = 5–70°, sorted by position:
- 2θ = 29.7°, 3.012 Å, I 286
- 2θ = 31.8°, 2.813 Å, I 979
- 2θ = 33.0°, 2.714 Å, I 1000
- 2θ = 40.2°, 2.245 Å, I 328
- 2θ = 42.0°, 2.153 Å, I 323
- 2θ = 59.5°, 1.554 Å, I 207